The following is a theoretical X-ray diffraction stick pattern of CeSnHPt. It was derived from DFT lattice parameters and positions (GGA-PBE), using Cu Ka.
No peak broadening, texture or thermal motion is included.

Atomic structure:
a b c (Å): 4.6895 4.6895 3.7958
angles (deg): 90.00 90.00 120.00
Atoms (fractional coordinates):
Ce (0.0000, 0.0000, 0.0000)
Sn (0.3333, 0.6667, 0.5000)
H (0.6667, 0.3333, 0.0000)
Pt (0.6667, 0.3333, 0.5000)

Top 12 peaks for 15° ≤ 2θ ≤ 90°, most intense first:
(1 0 1), d 2.773, I 100; (1 1 0), d 2.345, I 71; (1 1 2), d 1.475, I 34; (2 0 1), d 1.791, I 28; (2 1 1), d 1.423, I 26; (3 0 2), d 1.102, I 14; (1 1 1), d 1.995, I 13; (3 0 0), d 1.354, I 13; (0 0 2), d 1.898, I 13; (0 0 1), d 3.796, I 12; (2 2 0), d 1.172, I 8; (1 0 3), d 1.208, I 8